For CsCu4As2, DFT lattice parameters and positions (PBE) gives the calculated X-ray diffraction stick pattern in this record (Cu Kα X-rays).

Structural model:
Cell: 4.0649 17.4684 4.1811 Å, 90.00 90.00 90.00°
Sites, in units of the cell vectors:
Cs: 0.0000 0.0000 0.0000
Cs: 0.5000 0.5000 0.0000
Cu: 0.0000 0.2091 0.5000
Cu: 0.0000 0.2977 0.0000
Cu: 0.0000 0.7023 0.0000
Cu: 0.0000 0.7909 0.5000
Cu: 0.5000 0.2023 0.0000
Cu: 0.5000 0.2909 0.5000
Cu: 0.5000 0.7091 0.5000
Cu: 0.5000 0.7977 0.0000
As: 0.0000 0.3654 0.5000
As: 0.0000 0.6346 0.5000
As: 0.5000 0.1346 0.5000
As: 0.5000 0.8654 0.5000

Peak list (6 most intense, 2θ = 10–90°, low angle first)
- hkl 0 2 0, 2θ 10.13, intensity 64
- hkl 1 3 0, 2θ 26.75, intensity 66
- hkl 0 4 1, 2θ 29.58, intensity 47
- hkl 1 3 1, 2θ 34.41, intensity 40
- hkl 2 0 0, 2θ 44.58, intensity 39
- hkl 1 7 1, 2θ 47.99, intensity 100